(1)
For LiMnZnAu, a cell relaxed with GGA-PBE gives the computed powder XRD pattern in this record (Cu Kα, 1.54184 Å).

Cell and atoms:
```
data_LiMnZnAu
_chemical_formula_sum 'Li4 Mn4 Zn4 Au4'
_cell_length_a 6.221
_cell_length_b 6.221
_cell_length_c 6.221
_cell_angle_alpha 90.00
_cell_angle_beta 90.00
_cell_angle_gamma 90.00
_space_group_name_H-M_alt 'P 1'
_space_group_IT_number 1
loop_
_space_group_symop_operation_xyz
'x,y,z'
loop_
_atom_site_label
_atom_site_fract_x
_atom_site_fract_y
_atom_site_fract_z
Li1 0.000 0.000 0.000
Li2 0.000 0.500 0.500
Li3 0.500 0.000 0.500
Li4 0.500 0.500 0.000
Mn1 0.000 0.000 0.500
Mn2 0.000 0.500 0.000
Mn3 0.500 0.000 0.000
Mn4 0.500 0.500 0.500
Zn1 0.250 0.250 0.750
Zn2 0.250 0.750 0.250
Zn3 0.750 0.250 0.250
Zn4 0.750 0.750 0.750
Au1 0.250 0.250 0.250
Au2 0.250 0.750 0.750
Au3 0.750 0.250 0.750
Au4 0.750 0.750 0.250
```

Most intense lines, 10° ≤ 2θ ≤ 90°, low angle first:
2θ 24.8, d = 3.592 Å, I = 417
2θ 28.7, d = 3.111 Å, I = 510
2θ 41.0, d = 2.200 Å, I = 1000
2θ 48.5, d = 1.876 Å, I = 215
2θ 67.3, d = 1.391 Å, I = 192
2θ 74.8, d = 1.270 Å, I = 331

***

(2)
For Li6Au2N, a cell relaxed with GGA-PBE gives the computed powder XRD pattern in this record (Cu Kα, 1.54184 Å).

Cell and atoms:
```
data_Li6Au2N
_chemical_formula_sum 'Li6 Au2 N1'
_cell_length_a 3.192
_cell_length_b 6.639
_cell_length_c 6.639
_cell_angle_alpha 120.17
_cell_angle_beta 90.00
_cell_angle_gamma 90.00
_space_group_name_H-M_alt 'P 1'
_space_group_IT_number 1
loop_
_space_group_symop_operation_xyz
'x,y,z'
loop_
_atom_site_label
_atom_site_fract_x
_atom_site_fract_y
_atom_site_fract_z
Li1 0.000 0.000 0.000
Li2 0.000 0.594 0.796
Li3 0.000 0.796 0.594
Li4 0.500 0.136 0.797
Li5 0.500 0.455 0.455
Li6 0.500 0.797 0.136
Au1 0.000 0.129 0.464
Au2 0.000 0.464 0.129
N1 0.500 0.797 0.797
```

Most intense lines, 10° ≤ 2θ ≤ 90°, low angle first:
2θ 15.4, d = 5.745 Å, I = 660
2θ 26.9, d = 3.317 Å, I = 1000
2θ 28.0, d = 3.192 Å, I = 273
2θ 32.1, d = 2.790 Å, I = 329
2θ 39.2, d = 2.300 Å, I = 712
2θ 64.8, d = 1.438 Å, I = 178

***

(3)
For Li8AuN2, a cell relaxed with GGA-PBE gives the computed powder XRD pattern in this record (Cu Kα, 1.54184 Å).

Cell and atoms:
```
data_Li8AuN2
_chemical_formula_sum 'Li8 Au1 N2'
_cell_length_a 4.822
_cell_length_b 5.854
_cell_length_c 5.864
_cell_angle_alpha 113.47
_cell_angle_beta 103.99
_cell_angle_gamma 103.89
_space_group_name_H-M_alt 'P 1'
_space_group_IT_number 1
loop_
_space_group_symop_operation_xyz
'x,y,z'
loop_
_atom_site_label
_atom_site_fract_x
_atom_site_fract_y
_atom_site_fract_z
Li1 0.000 0.000 0.000
Li2 0.000 0.295 0.705
Li3 0.230 0.892 0.598
Li4 0.484 0.330 0.536
Li5 0.485 0.831 0.036
Li6 0.738 0.769 0.474
Li7 0.969 0.367 0.368
Li8 0.970 0.663 0.072
Au1 0.486 0.330 0.035
N1 0.984 0.647 0.720
N2 0.985 0.015 0.352
```

Most intense lines, 10° ≤ 2θ ≤ 90°, low angle first:
2θ 17.8, d = 4.975 Å, I = 1000
2θ 18.1, d = 4.899 Å, I = 429
2θ 21.5, d = 4.132 Å, I = 898
2θ 27.5, d = 3.245 Å, I = 511
2θ 31.5, d = 2.843 Å, I = 344
2θ 32.1, d = 2.786 Å, I = 302

***

(4)
For Li8Au3N, a cell relaxed with GGA-PBE gives the computed powder XRD pattern in this record (Cu Kα, 1.54184 Å).

Cell and atoms:
```
data_Li8Au3N
_chemical_formula_sum 'Li16 Au6 N2'
_cell_length_a 8.219
_cell_length_b 8.219
_cell_length_c 6.113
_cell_angle_alpha 90.00
_cell_angle_beta 90.00
_cell_angle_gamma 120.00
_space_group_name_H-M_alt 'P 1'
_space_group_IT_number 1
loop_
_space_group_symop_operation_xyz
'x,y,z'
loop_
_atom_site_label
_atom_site_fract_x
_atom_site_fract_y
_atom_site_fract_z
Li1 0.000 0.000 0.193
Li2 0.000 0.000 0.693
Li3 0.111 0.556 0.206
Li4 0.199 0.398 0.500
Li5 0.199 0.801 0.500
Li6 0.333 0.667 0.753
Li7 0.398 0.199 0.000
Li8 0.444 0.556 0.206
Li9 0.444 0.889 0.206
Li10 0.556 0.111 0.706
Li11 0.556 0.444 0.706
Li12 0.602 0.801 0.500
Li13 0.667 0.333 0.253
Li14 0.801 0.199 0.000
Li15 0.801 0.602 0.000
Li16 0.889 0.444 0.706
Au1 0.160 0.320 0.932
Au2 0.160 0.840 0.932
Au3 0.320 0.160 0.432
Au4 0.680 0.840 0.932
Au5 0.840 0.160 0.432
Au6 0.840 0.680 0.432
N1 0.333 0.667 0.419
N2 0.667 0.333 0.919
```

Most intense lines, 10° ≤ 2θ ≤ 90°, low angle first:
2θ 25.0, d = 3.559 Å, I = 244
2θ 29.0, d = 3.076 Å, I = 1000
2θ 29.2, d = 3.057 Å, I = 222
2θ 44.1, d = 2.055 Å, I = 236
2θ 51.7, d = 1.768 Å, I = 215
2θ 53.8, d = 1.705 Å, I = 245

***

(5)
For LiPa2AuN4, a cell relaxed with GGA-PBE gives the computed powder XRD pattern in this record (Cu Kα, 1.54184 Å).

Cell and atoms:
```
data_LiPa2AuN4
_chemical_formula_sum 'Li1 Pa2 Au1 N4'
_cell_length_a 5.596
_cell_length_b 5.036
_cell_length_c 5.598
_cell_angle_alpha 63.24
_cell_angle_beta 53.47
_cell_angle_gamma 63.29
_space_group_name_H-M_alt 'P 1'
_space_group_IT_number 1
loop_
_space_group_symop_operation_xyz
'x,y,z'
loop_
_atom_site_label
_atom_site_fract_x
_atom_site_fract_y
_atom_site_fract_z
Li1 0.000 0.000 0.000
Pa1 0.228 0.228 0.272
Pa2 0.728 0.728 0.772
Au1 0.479 0.479 0.521
N1 0.222 0.737 0.263
N2 0.458 0.977 0.542
N3 0.737 0.222 0.778
N4 0.977 0.458 0.023
```

Most intense lines, 10° ≤ 2θ ≤ 90°, low angle first:
2θ 20.4, d = 4.350 Å, I = 318
2θ 32.6, d = 2.747 Å, I = 1000
2θ 35.7, d = 2.518 Å, I = 552
2θ 41.5, d = 2.177 Å, I = 199
2θ 56.1, d = 1.639 Å, I = 298
2θ 62.1, d = 1.494 Å, I = 345

***

(6)
For Li5Pu2Au3N2, a cell relaxed with GGA-PBE gives the computed powder XRD pattern in this record (Cu Kα, 1.54184 Å).

Cell and atoms:
```
data_Li5Pu2Au3N2
_chemical_formula_sum 'Li5 Pu2 Au3 N2'
_cell_length_a 11.523
_cell_length_b 11.523
_cell_length_c 11.523
_cell_angle_alpha 158.69
_cell_angle_beta 158.69
_cell_angle_gamma 30.32
_space_group_name_H-M_alt 'P 1'
_space_group_IT_number 1
loop_
_space_group_symop_operation_xyz
'x,y,z'
loop_
_atom_site_label
_atom_site_fract_x
_atom_site_fract_y
_atom_site_fract_z
Li1 0.000 0.000 0.000
Li2 0.083 0.583 0.500
Li3 0.417 0.917 0.500
Li4 0.583 0.083 0.500
Li5 0.917 0.417 0.500
Pu1 0.186 0.186 0.000
Pu2 0.814 0.814 0.000
Au1 0.324 0.324 0.000
Au2 0.500 0.500 0.000
Au3 0.676 0.676 0.000
N1 0.095 0.095 0.000
N2 0.905 0.905 0.000
```

Most intense lines, 10° ≤ 2θ ≤ 90°, low angle first:
2θ 24.0, d = 3.704 Å, I = 734
2θ 29.6, d = 3.013 Å, I = 1000
2θ 38.5, d = 2.338 Å, I = 746
2θ 42.4, d = 2.131 Å, I = 414
2θ 49.3, d = 1.847 Å, I = 395
2θ 75.0, d = 1.267 Å, I = 224

***

(7)
For SrLi2AuN, a cell relaxed with GGA-PBE gives the computed powder XRD pattern in this record (Cu Kα, 1.54184 Å).

Cell and atoms:
```
data_SrLi2AuN
_chemical_formula_sum 'Sr2 Li4 Au2 N2'
_cell_length_a 6.781
_cell_length_b 6.781
_cell_length_c 7.540
_cell_angle_alpha 90.00
_cell_angle_beta 90.00
_cell_angle_gamma 148.11
_space_group_name_H-M_alt 'P 1'
_space_group_IT_number 1
loop_
_space_group_symop_operation_xyz
'x,y,z'
loop_
_atom_site_label
_atom_site_fract_x
_atom_site_fract_y
_atom_site_fract_z
Sr1 0.028 0.972 0.750
Sr2 0.972 0.028 0.250
Li1 0.355 0.645 0.551
Li2 0.355 0.645 0.949
Li3 0.645 0.355 0.051
Li4 0.645 0.355 0.449
Au1 0.243 0.757 0.250
Au2 0.757 0.243 0.750
N1 0.500 0.500 0.000
N2 0.500 0.500 0.500
```

Most intense lines, 10° ≤ 2θ ≤ 90°, low angle first:
2θ 23.6, d = 3.770 Å, I = 729
2θ 27.3, d = 3.261 Å, I = 764
2θ 27.6, d = 3.236 Å, I = 930
2θ 33.8, d = 2.649 Å, I = 1000
2θ 36.4, d = 2.466 Å, I = 461
2θ 44.0, d = 2.057 Å, I = 439

***

(8)
For Na2Li9Au6, a cell relaxed with GGA-PBE gives the computed powder XRD pattern in this record (Cu Kα, 1.54184 Å).

Cell and atoms:
```
data_Na2Li9Au6
_chemical_formula_sum 'Na2 Li9 Au6'
_cell_length_a 5.699
_cell_length_b 5.699
_cell_length_c 12.429
_cell_angle_alpha 90.00
_cell_angle_beta 90.00
_cell_angle_gamma 120.00
_space_group_name_H-M_alt 'P 1'
_space_group_IT_number 1
loop_
_space_group_symop_operation_xyz
'x,y,z'
loop_
_atom_site_label
_atom_site_fract_x
_atom_site_fract_y
_atom_site_fract_z
Na1 0.000 0.000 0.170
Na2 0.000 0.000 0.830
Li1 0.000 0.500 0.000
Li2 0.000 0.500 0.337
Li3 0.000 0.500 0.663
Li4 0.500 0.000 0.000
Li5 0.500 0.000 0.337
Li6 0.500 0.000 0.663
Li7 0.500 0.500 0.000
Li8 0.500 0.500 0.337
Li9 0.500 0.500 0.663
Au1 0.333 0.667 0.169
Au2 0.333 0.667 0.500
Au3 0.333 0.667 0.831
Au4 0.667 0.333 0.169
Au5 0.667 0.333 0.500
Au6 0.667 0.333 0.831
```

Most intense lines, 10° ≤ 2θ ≤ 90°, low angle first:
2θ 18.0, d = 4.935 Å, I = 641
2θ 21.4, d = 4.143 Å, I = 643
2θ 28.1, d = 3.173 Å, I = 398
2θ 31.4, d = 2.849 Å, I = 808
2θ 38.3, d = 2.348 Å, I = 1000
2θ 54.8, d = 1.675 Å, I = 340

***

What is the formula in the eighth record?
Na2Li9Au6